Entry 1:
# Tm4CoS3
Computed powder diffraction line list, Cu Kα (λ = 1.5418 Å). Input: the PBE geometry in Alexandria.
Peak positions follow from Bragg's law for the DFT cell and can differ from measured ones.

Structural model:
Cell: 7.9647 10.9887 3.7679 Å, 90.00 90.00 90.00°
Sites, in units of the cell vectors:
Tm (0.0000, 0.2387, 0.0000)
Tm (0.0000, 0.7613, 0.0000)
Tm (0.2334, 0.0000, 0.5000)
Tm (0.2666, 0.5000, 0.5000)
Tm (0.5000, 0.2613, 0.0000)
Tm (0.5000, 0.7387, 0.0000)
Tm (0.7334, 0.5000, 0.5000)
Tm (0.7666, 0.0000, 0.5000)
Co (0.0000, 0.0000, 0.0000)
Co (0.5000, 0.5000, 0.0000)
S (0.0000, 0.5000, 0.0000)
S (0.2500, 0.2500, 0.5000)
S (0.2500, 0.7500, 0.5000)
S (0.5000, 0.0000, 0.0000)
S (0.7500, 0.2500, 0.5000)
S (0.7500, 0.7500, 0.5000)

The 10 most intense peaks (10 to 90 degrees two-theta), low angle first:
2θ 27.67, 3.224 Å, I = 55
2θ 28.73, 3.107 Å, I = 52
2θ 32.59, 2.747 Å, I = 50
2θ 32.72, 2.737 Å, I = 100
2θ 45.56, 1.991 Å, I = 19
2θ 46.86, 1.939 Å, I = 70
2θ 48.31, 1.884 Å, I = 17
2θ 57.13, 1.612 Å, I = 18
2θ 59.50, 1.554 Å, I = 17
2θ 78.01, 1.225 Å, I = 18

***

Entry 2:
# Ta2Ni2H3
Computed powder diffraction line list, Cu Kα (λ = 1.5418 Å). Input: the PBE geometry in Alexandria.
Peak positions follow from Bragg's law for the DFT cell and can differ from measured ones.

Structural model:
Cell: 5.2832 4.8331 5.9944 Å, 90.00 121.70 90.00°
Sites, in units of the cell vectors:
Ta (0.1628, 0.1504, 0.3947)
Ta (0.1628, 0.3496, 0.8947)
Ta (0.8372, 0.6504, 0.1053)
Ta (0.8372, 0.8496, 0.6053)
Ni (0.3589, 0.6559, 0.6306)
Ni (0.3589, 0.8441, 0.1306)
Ni (0.6411, 0.1559, 0.8694)
Ni (0.6411, 0.3441, 0.3694)
H (0.0000, 0.0000, 0.0000)
H (0.0000, 0.5000, 0.5000)
H (0.2398, 0.0226, 0.7381)
H (0.2398, 0.4774, 0.2381)
H (0.7602, 0.5226, 0.7619)
H (0.7602, 0.9774, 0.2619)

The 10 most intense peaks (10 to 90 degrees two-theta), low angle first:
2θ 25.39, 3.508 Å, I = 23
2θ 27.09, 3.291 Å, I = 40
2θ 36.88, 2.437 Å, I = 75
2θ 37.81, 2.380 Å, I = 44
2θ 39.98, 2.255 Å, I = 82
2θ 41.72, 2.165 Å, I = 100
2θ 44.46, 2.038 Å, I = 53
2θ 50.02, 1.823 Å, I = 22
2θ 65.26, 1.430 Å, I = 19
2θ 67.48, 1.388 Å, I = 23

***

> Number 1 is which compound?

Tm4CoS3